Structure and computed X-ray powder pattern of TbErPd2 (the PBE geometry in OQMD; Cu Kα (weighted mean of Kα1 and Kα2)).
Peak positions follow from Bragg's law for the DFT cell and can differ from measured ones.

Most intense lines, 2θ = 10–90°, low angle first:
d (Å)	I/Imax
3.129	43
2.728	83
2.620	68
2.458	100
2.261	82
2.238	55
2.127	25
1.702	37
1.647	24
1.326	28

Structure:
```
data_TbErPd2
_cell_length_a 4.476
_cell_length_b 6.883
_cell_length_c 5.665
_cell_angle_alpha 90.00
_cell_angle_beta 90.00
_cell_angle_gamma 90.00
_symmetry_space_group_name_H-M 'P m n 21'
_symmetry_Int_Tables_number 31
loop_
_symmetry_equiv_pos_as_xyz
'x,y,z'
'-x+1/2,-y,z+1/2'
'-x,y,z'
'x+1/2,-y,z+1/2'
loop_
_atom_site_label
_atom_site_type_symbol
_atom_site_fract_x
_atom_site_fract_y
_atom_site_fract_z
Tb1 Tb 0.000 0.068 0.000
Er1 Er 0.000 0.568 0.215
Pd1 Pd 0.000 0.214 0.512
Pd2 Pd 0.000 0.701 0.703
```